Entry 1:
For SmAl2Cl8, a structure optimized by DFT (PBE) gives the simulated powder diffractogram in this record (Cu Kα X-rays).
No peak broadening, texture or thermal motion is included.

Structural model:
Cell lengths 7.3328, 6.9475, 12.7442 Å; angles 90.00, 94.13, 90.00 degrees
Space group P2/c (No. 13)
One atom of each set of equivalent atoms:
Sm (0.0000, 0.1582, 0.2500) [2 per cell]
Al (0.1742, 0.2617, 0.9199) [4 per cell]
Cl (0.1055, 0.1726, 0.6202) [4 per cell]
Cl (0.2322, 0.3051, 0.0875) [4 per cell]
Cl (0.2389, 0.4714, 0.3410) [4 per cell]
Cl (0.3288, 0.0251, 0.8603) [4 per cell]

Peak list (6 most intense, 2θ from 15° to 90°, low angle first)
2θ/deg, intensity
17.8, 83
19.3, 100
26.8, 76
29.1, 83
36.0, 59
38.9, 65

Entry 2:
For SrAl2Cl8, a structure optimized by DFT (PBE) gives the simulated powder diffractogram in this record (Cu Kα X-rays).
No peak broadening, texture or thermal motion is included.

Structural model:
Cell lengths 11.6425, 11.6425, 20.9981 Å; angles 90.00, 90.00, 90.00 degrees
Space group I4_1/acd (No. 142, origin choice 2)
One atom of each set of equivalent atoms:
Sr (0.0000, 0.2500, 0.1250) [8 per cell]
Al (0.0369, 0.0000, 0.2500) [16 per cell]
Cl (0.0666, 0.9996, 0.6648) [32 per cell]
Cl (0.0959, 0.1115, 0.0118) [32 per cell]

Peak list (6 most intense, 2θ from 15° to 90°, low angle first)
2θ/deg, intensity
17.4, 60
25.6, 51
27.3, 100
28.0, 77
34.5, 51
35.3, 67